[1]
Starting from the GGA-PBE geometry in Alexandria, the XRD peak list of CoNi2Ir was calculated for λ = 1.5418 Å (Cu Kα).
No peak broadening, texture or thermal motion is included.

Structure:
abc: 8.511 2.591 4.425
angles: 90.00 100.32 90.00
Space group Cm (No. 8)
Unique sites:
Co  0.000  0.000  0.000 [2 per cell]
Ni  0.000  0.500  0.509 [2 per cell]
Ni  0.252  0.000  0.750 [2 per cell]
Ir  0.250  0.500  0.249 [2 per cell]

The 10 most intense peaks (15 to 90 degrees two-theta), in order of falling intensity:
hkl 1 1 1, 42.98°, intensity 100; hkl 4 0 0, 43.25°, intensity 98; hkl 3 1 -1, 50.00°, intensity 64; hkl 2 0 0, 21.22°, intensity 33; hkl 0 0 1, 20.40°, intensity 33; hkl 2 0 2, 50.61°, intensity 31; hkl 5 1 1, 73.84°, intensity 29; hkl 7 1 -1, 89.39°, intensity 24; hkl 2 0 -1, 26.77°, intensity 19; hkl 1 1 -3, 73.94°, intensity 19

[2]
Starting from the GGA-PBE geometry in Alexandria, the XRD peak list of Co2NiIr was calculated for λ = 1.5418 Å (Cu Kα).
No peak broadening, texture or thermal motion is included.

Structure:
abc: 5.149 7.207 2.596
angles: 90.00 90.00 90.00
Space group Cmmm (No. 65)
Unique sites:
Co  0.250  0.250  0.000 [4 per cell]
Ni  0.000  0.000  0.500 [2 per cell]
Ir  0.000  0.500  0.500 [2 per cell]

The 10 most intense peaks (15 to 90 degrees two-theta), in order of falling intensity:
hkl 0 2 1, 42.94°, intensity 100; hkl 2 2 0, 43.19°, intensity 98; hkl 1 1 0, 21.21°, intensity 65; hkl 2 0 1, 49.89°, intensity 64; hkl 2 4 1, 73.85°, intensity 38; hkl 0 4 0, 50.67°, intensity 30; hkl 2 2 2, 88.65°, intensity 26; hkl 1 1 1, 40.90°, intensity 25; hkl 0 2 0, 24.71°, intensity 25; hkl 4 2 1, 89.16°, intensity 24

[3]
Starting from the GGA-PBE geometry in Alexandria, the XRD peak list of Co7Ni2Ir2 was calculated for λ = 1.5418 Å (Cu Kα).
No peak broadening, texture or thermal motion is included.

Structure:
abc: 7.974 5.899 6.057
angles: 90.00 106.44 90.00
Space group C2/m (No. 12)
Unique sites:
Co  0.000  0.000  0.000 [2 per cell]
Co  0.227  0.296  0.178 [8 per cell]
Co  0.237  0.500  0.534 [4 per cell]
Ni  0.000  0.202  0.500 [4 per cell]
Ir  0.053  0.500  0.814 [4 per cell]

The 10 most intense peaks (15 to 90 degrees two-theta), in order of falling intensity:
hkl 1 1 0, 19.00°, intensity 100; hkl 2 2 -2, 45.42°, intensity 90; hkl 2 2 1, 44.23°, intensity 90; hkl 3 1 -2, 42.87°, intensity 57; hkl 4 0 0, 47.59°, intensity 44; hkl 0 0 3, 46.92°, intensity 37; hkl 1 1 -2, 33.39°, intensity 36; hkl 1 1 2, 39.26°, intensity 29; hkl 2 2 0, 38.55°, intensity 25; hkl 1 1 1, 26.47°, intensity 21

[4]
Starting from the GGA-PBE geometry in Alexandria, the XRD peak list of CoNi3Ir4 was calculated for λ = 1.5418 Å (Cu Kα).
No peak broadening, texture or thermal motion is included.

Structure:
abc: 21.156 2.630 4.109
angles: 90.00 99.79 90.00
Space group C2/m (No. 12)
Unique sites:
Co  0.000  0.000  0.000 [2 per cell]
Ni  0.000  0.500  0.500 [2 per cell]
Ni  0.215  0.500  0.722 [4 per cell]
Ir  0.100  0.000  0.622 [4 per cell]
Ir  0.167  0.000  0.180 [4 per cell]

The 10 most intense peaks (15 to 90 degrees two-theta), in order of falling intensity:
hkl 2 0 -2, 44.09°, intensity 100; hkl 7 1 -1, 49.06°, intensity 99; hkl 1 1 0, 34.36°, intensity 87; hkl 4 0 0, 17.01°, intensity 87; hkl 5 1 1, 48.44°, intensity 85; hkl 8 0 1, 44.43°, intensity 69; hkl 4 0 1, 30.17°, intensity 63; hkl 3 1 0, 36.52°, intensity 60; hkl 10 0 -1, 45.42°, intensity 55; hkl 6 0 -1, 30.93°, intensity 45

[5]
Starting from the GGA-PBE geometry in Alexandria, the XRD peak list of Co23Ni6Ir was calculated for λ = 1.5418 Å (Cu Kα).
No peak broadening, texture or thermal motion is included.

Structure:
abc: 11.127 11.127 11.127
angles: 90.00 90.00 90.00
Space group Fm-3m (No. 225)
Unique sites:
Co  0.000  0.000  0.000 [4 per cell]
Co  0.000  0.250  0.250 [24 per cell]
Co  0.129  0.129  0.129 [32 per cell]
Co  0.138  0.138  0.362 [32 per cell]
Ni  0.000  0.000  0.258 [24 per cell]
Ir  0.000  0.000  0.500 [4 per cell]

The 10 most intense peaks (15 to 90 degrees two-theta), in order of falling intensity:
hkl 4 4 0, 46.15°, intensity 100; hkl 8 4 4, 85.50°, intensity 26; hkl 4 2 0, 36.10°, intensity 14; hkl 8 0 0, 67.32°, intensity 14; hkl 6 0 0, 49.13°, intensity 5; hkl 6 4 4, 69.68°, intensity 5; hkl 2 0 0, 15.93°, intensity 4; hkl 5 1 1, 42.20°, intensity 4; hkl 2 2 2, 27.77°, intensity 4; hkl 3 1 1, 26.57°, intensity 3

[6]
Starting from the GGA-PBE geometry in Alexandria, the XRD peak list of Co2NiIrSe8 was calculated for λ = 1.5418 Å (Cu Kα).
No peak broadening, texture or thermal motion is included.

Structure:
abc: 4.960 7.431 5.909
angles: 90.00 90.05 90.00
Space group P2/m (No. 10)
Unique sites:
Co  0.000  0.248  0.000 [2 per cell]
Ni  0.500  0.500  0.500 [1 per cell]
Ir  0.500  0.000  0.500 [1 per cell]
Se  0.210  0.254  0.365 [4 per cell]
Se  0.276  0.000  0.880 [2 per cell]
Se  0.278  0.500  0.875 [2 per cell]

The 10 most intense peaks (15 to 90 degrees two-theta), in order of falling intensity:
hkl 2 2 -1, 46.64°, intensity 100; hkl 1 2 1, 33.75°, intensity 92; hkl 1 2 0, 30.05°, intensity 74; hkl 1 0 -2, 35.36°, intensity 74; hkl 1 0 -1, 23.42°, intensity 44; hkl 0 2 3, 52.59°, intensity 43; hkl 0 4 0, 49.03°, intensity 36; hkl 1 2 -2, 43.16°, intensity 29; hkl 1 4 -2, 61.89°, intensity 28; hkl 2 0 -4, 74.81°, intensity 18